(1)
Computed PXRD pattern
Compound: Tm8Ru3Pb2
Radiation: Cu Ka
Structure: a GGA-PBE-relaxed structure
No peak broadening, texture or thermal motion is included.

Most intense lines, 15 to 90 degrees two-theta, by angle:
22.0°, I = 12, hkl 2 2 0; 26.1°, I = 12, hkl 2 0 1; 35.7°, I = 100, hkl 2 4 1; 37.0°, I = 26, hkl 0 0 2; 37.3°, I = 25, hkl 4 0 0; 53.6°, I = 18, hkl 4 0 2; 65.8°, I = 18, hkl 2 4 3; 66.3°, I = 17, hkl 6 4 1

a b c (Å): 9.633 14.843 4.858
angles (deg): 90.00 90.00 90.00
Space group Cmmm (No. 65)
Symmetry-distinct sites (fractional):
Tm (0.000, 0.107, 0.000) [4 per cell]
Tm (0.000, 0.389, 0.000) [4 per cell]
Tm (0.245, 0.392, 0.500) [8 per cell]
Ru (0.000, 0.500, 0.500) [2 per cell]
Ru (0.248, 0.500, 0.000) [4 per cell]
Pb (0.000, 0.243, 0.500) [4 per cell]



(2)
Computed PXRD pattern
Compound: Y12Ru6Pb
Radiation: Cu Ka
Structure: a GGA-PBE-relaxed structure
No peak broadening, texture or thermal motion is included.

Most intense lines, 15 to 90 degrees two-theta, by angle:
17.9°, I = 21, hkl 2 0 0; 31.3°, I = 36, hkl 2 2 2; 33.9°, I = 100, hkl 3 1 2; 36.3°, I = 21, hkl 4 0 0; 46.8°, I = 35, hkl 4 3 1; 54.0°, I = 15, hkl 5 3 0; 57.4°, I = 23, hkl 5 2 3; 66.8°, I = 18, hkl 5 3 4

a b c (Å): 9.897 9.897 9.897
angles (deg): 90.00 90.00 90.00
Space group Im-3 (No. 204)
Symmetry-distinct sites (fractional):
Y (0.000, 0.297, 0.195) [24 per cell]
Ru (0.000, 0.123, 0.500) [12 per cell]
Pb (0.000, 0.000, 0.000) [2 per cell]



(3)
Computed PXRD pattern
Compound: ZnRu2Pb
Radiation: Cu Ka
Structure: a GGA-PBE-relaxed structure
No peak broadening, texture or thermal motion is included.

Most intense lines, 15 to 90 degrees two-theta, by angle:
21.0°, I = 17, hkl 0 0 2; 31.7°, I = 12, hkl 0 0 3; 32.1°, I = 21, hkl 1 0 1; 37.1°, I = 100, hkl 1 0 2; 43.3°, I = 43, hkl 1 1 0; 44.4°, I = 18, hkl 1 0 3; 62.9°, I = 14, hkl 2 0 0; 75.3°, I = 25, hkl 2 1 2

a b c (Å): 2.956 2.956 8.456
angles (deg): 90.00 90.00 90.00
Space group P4mm (No. 99)
Symmetry-distinct sites (fractional):
Zn (0.000, 0.000, 0.000) [1 per cell]
Ru (0.000, 0.000, 0.620) [1 per cell]
Ru (0.500, 0.500, 0.806) [1 per cell]
Pb (0.500, 0.500, 0.359) [1 per cell]



(4)
Computed PXRD pattern
Compound: PbS4
Radiation: Cu Ka
Structure: a GGA-PBE-relaxed structure
No peak broadening, texture or thermal motion is included.

Most intense lines, 15 to 90 degrees two-theta, by angle:
21.3°, I = 80, hkl 1 0 0; 22.6°, I = 100, hkl 0 1 -1; 25.7°, I = 77, hkl -1 1 1; 26.4°, I = 45, hkl 0 0 2; 26.6°, I = 60, hkl 1 0 1; 27.0°, I = 33, hkl 0 1 1; 37.1°, I = 62, hkl 1 -2 0; 37.5°, I = 54, hkl 2 -1 0

a b c (Å): 4.807 4.908 6.899
angles (deg): 98.55 92.63 118.85
Space group P-1 (No. 2)
Symmetry-distinct sites (fractional):
Pb (0.000, 0.000, 0.000) [1 per cell]
S (0.251, 0.570, 0.522) [2 per cell]
S (0.293, 0.597, 0.822) [2 per cell]



(5)
Computed PXRD pattern
Compound: Pb6S5
Radiation: Cu Ka
Structure: a GGA-PBE-relaxed structure
No peak broadening, texture or thermal motion is included.

Most intense lines, 15 to 90 degrees two-theta, by angle:
26.0°, I = 28, hkl 0 0 2; 26.1°, I = 81, hkl 1 3 -1; 30.2°, I = 100, hkl 2 0 -2; 43.2°, I = 38, hkl 1 3 -3; 43.4°, I = 37, hkl 3 3 -1; 51.3°, I = 27, hkl 3 3 -3; 53.8°, I = 20, hkl 2 6 -2; 71.2°, I = 17, hkl 3 3 -5

a b c (Å): 7.218 12.523 7.269
angles (deg): 90.00 109.36 90.00
Space group C2/m (No. 12)
Symmetry-distinct sites (fractional):
Pb (0.240, 0.161, 0.241) [8 per cell]
Pb (0.242, 0.000, 0.752) [4 per cell]
S (0.000, 0.171, 0.500) [4 per cell]
S (0.000, 0.333, 0.000) [4 per cell]
S (0.000, 0.500, 0.500) [2 per cell]



(6)
Computed PXRD pattern
Compound: Pb3S8
Radiation: Cu Ka
Structure: a GGA-PBE-relaxed structure
No peak broadening, texture or thermal motion is included.

Most intense lines, 15 to 90 degrees two-theta, by angle:
23.1°, I = 55, hkl 1 0 0; 23.3°, I = 44, hkl 1 1 1; 23.6°, I = 100, hkl 0 0 3; 27.7°, I = 99, hkl 0 2 1; 31.4°, I = 64, hkl 1 1 -2; 31.8°, I = 63, hkl 1 0 3; 38.4°, I = 31, hkl 1 2 4; 46.6°, I = 46, hkl 1 -2 2

a b c (Å): 4.046 6.733 11.777
angles (deg): 74.33 81.06 73.09
Space group P-1 (No. 2)
Symmetry-distinct sites (fractional):
Pb (0.000, 0.000, 0.000) [1 per cell]
Pb (0.071, 0.177, 0.651) [2 per cell]
S (0.167, 0.374, 0.335) [2 per cell]
S (0.184, 0.562, 0.952) [2 per cell]
S (0.368, 0.732, 0.590) [2 per cell]
S (0.464, 0.914, 0.186) [2 per cell]



(7)
Computed PXRD pattern
Compound: PbS
Radiation: Cu Ka
Structure: a GGA-PBE-relaxed structure
No peak broadening, texture or thermal motion is included.

Most intense lines, 15 to 90 degrees two-theta, by angle:
21.7°, I = 67, hkl 0 1 0; 24.7°, I = 23, hkl 3 0 1; 26.1°, I = 79, hkl 2 0 2; 29.7°, I = 35, hkl 4 0 0; 30.7°, I = 27, hkl 0 1 2; 33.1°, I = 32, hkl 3 1 1; 34.2°, I = 100, hkl 2 1 2; 37.1°, I = 30, hkl 4 1 0

a b c (Å): 12.028 4.091 8.300
angles (deg): 90.00 90.00 90.00
Space group Pmn2_1 (No. 31)
Symmetry-distinct sites (fractional):
Pb (0.000, 0.110, 0.000) [2 per cell]
Pb (0.221, 0.979, 0.719) [4 per cell]
S (0.000, 0.090, 0.679) [2 per cell]
S (0.193, 0.506, 0.977) [4 per cell]



(8)
Computed PXRD pattern
Compound: PbS8
Radiation: Cu Ka
Structure: a GGA-PBE-relaxed structure
No peak broadening, texture or thermal motion is included.

Most intense lines, 15 to 90 degrees two-theta, by angle:
18.4°, I = 67, hkl 2 0 0; 23.3°, I = 94, hkl 0 0 2; 23.7°, I = 55, hkl 2 1 1; 29.3°, I = 48, hkl 3 1 0; 29.8°, I = 42, hkl 2 0 2; 30.2°, I = 55, hkl 3 0 1; 35.6°, I = 100, hkl 3 2 1; 37.7°, I = 48, hkl 3 1 2

a b c (Å): 9.647 9.647 7.639
angles (deg): 90.00 90.00 90.00
Space group I4/m (No. 87)
Symmetry-distinct sites (fractional):
Pb (0.000, 0.000, 0.000) [2 per cell]
S (0.043, 0.400, 0.000) [8 per cell]
S (0.122, 0.725, 0.000) [8 per cell]



(9)
Computed PXRD pattern
Compound: PbS
Radiation: Cu Ka
Structure: a GGA-PBE-relaxed structure
No peak broadening, texture or thermal motion is included.

Most intense lines, 15 to 90 degrees two-theta, by angle:
25.7°, I = 96, hkl 1 0 1; 29.8°, I = 100, hkl 0 1 2; 42.6°, I = 76, hkl 1 1 0; 50.4°, I = 51, hkl 1 1 3; 52.9°, I = 27, hkl 2 0 2; 68.1°, I = 22, hkl 2 0 5; 70.1°, I = 35, hkl 1 2 2; 78.0°, I = 27, hkl 3 0 0

a b c (Å): 4.2421 4.2421 10.3956
angles (deg): 90.00 90.00 120.00
Space group R3m (No. 160, hexagonal axes)
Symmetry-distinct sites (fractional):
Pb (0.0000, 0.0000, 0.0000) [3 per cell]
S (0.0000, 0.0000, 0.4976) [3 per cell]



(10)
Computed PXRD pattern
Compound: Sb4Pb4S11
Radiation: Cu Ka
Structure: a GGA-PBE-relaxed structure
No peak broadening, texture or thermal motion is included.

Most intense lines, 15 to 90 degrees two-theta, by angle:
20.3°, I = 38, hkl 3 2 0; 23.3°, I = 52, hkl 1 4 0; 25.3°, I = 100, hkl 4 2 0; 27.5°, I = 54, hkl 2 2 1; 30.3°, I = 51, hkl 2 3 1; 30.6°, I = 37, hkl 5 2 0; 32.4°, I = 69, hkl 1 4 1; 47.4°, I = 39, hkl 4 6 1

a b c (Å): 15.756 15.763 3.991
angles (deg): 90.00 90.00 90.00
Space group Pbam (No. 55)
Symmetry-distinct sites (fractional):
Sb (0.019, 0.228, 0.000) [4 per cell]
Sb (0.139, 0.995, 0.000) [4 per cell]
Pb (0.117, 0.441, 0.500) [4 per cell]
Pb (0.249, 0.694, 0.500) [4 per cell]
S (0.000, 0.500, 0.000) [2 per cell]
S (0.036, 0.678, 0.500) [4 per cell]
S (0.085, 0.114, 0.500) [4 per cell]
S (0.157, 0.299, 0.000) [4 per cell]
S (0.170, 0.893, 0.500) [4 per cell]
S (0.219, 0.559, 0.000) [4 per cell]



(11)
Computed PXRD pattern
Compound: Sb2PbS3
Radiation: Cu Ka
Structure: a GGA-PBE-relaxed structure
No peak broadening, texture or thermal motion is included.

Most intense lines, 15 to 90 degrees two-theta, by angle:
17.6°, I = 100, hkl 1 1 1; 25.8°, I = 84, hkl 2 2 0; 28.8°, I = 30, hkl 3 1 1; 29.1°, I = 54, hkl 2 0 2; 31.6°, I = 52, hkl 0 2 2; 33.8°, I = 32, hkl 1 3 1; 35.8°, I = 64, hkl 3 1 2; 38.3°, I = 24, hkl 4 2 0

a b c (Å): 11.093 8.834 7.381
angles (deg): 90.00 90.00 90.00
Space group Cmcm (No. 63)
Symmetry-distinct sites (fractional):
Sb (0.172, 0.000, 0.000) [8 per cell]
Pb (0.000, 0.240, 0.250) [4 per cell]
S (0.000, 0.111, 0.750) [4 per cell]
S (0.166, 0.493, 0.250) [8 per cell]



(12)
Computed PXRD pattern
Compound: Sb2PbS5
Radiation: Cu Ka
Structure: a GGA-PBE-relaxed structure
No peak broadening, texture or thermal motion is included.

Most intense lines, 15 to 90 degrees two-theta, by angle:
17.0°, I = 93, hkl 1 1 0; 24.2°, I = 63, hkl 1 3 0; 24.9°, I = 91, hkl 0 2 3; 27.7°, I = 71, hkl 1 1 3; 32.2°, I = 59, hkl 2 0 0; 32.7°, I = 87, hkl 0 4 3; 41.1°, I = 100, hkl 1 5 3; 46.6°, I = 63, hkl 2 4 3

a b c (Å): 5.563 14.693 12.311
angles (deg): 90.00 90.00 90.00
Space group Cmcm (No. 63)
Symmetry-distinct sites (fractional):
Sb (0.000, 0.171, 0.069) [8 per cell]
Pb (0.000, 0.174, 0.750) [4 per cell]
S (0.000, 0.031, 0.578) [8 per cell]
S (0.000, 0.276, 0.250) [4 per cell]
S (0.000, 0.303, 0.569) [8 per cell]



(13)
Computed PXRD pattern
Compound: Sb4PbS8
Radiation: Cu Ka
Structure: a GGA-PBE-relaxed structure
No peak broadening, texture or thermal motion is included.

Most intense lines, 15 to 90 degrees two-theta, by angle:
15.5°, I = 38, hkl 2 0 0; 21.9°, I = 21, hkl 2 2 0; 25.8°, I = 100, hkl 3 1 1; 31.2°, I = 28, hkl 4 0 0; 40.9°, I = 52, hkl 5 1 1; 44.7°, I = 61, hkl 4 4 0; 62.2°, I = 23, hkl 5 5 3; 82.5°, I = 18, hkl 8 4 4

a b c (Å): 11.461 11.461 11.461
angles (deg): 90.00 90.00 90.00
Space group F-43m (No. 216)
Symmetry-distinct sites (fractional):
Sb (0.117, 0.117, 0.383) [16 per cell]
Pb (0.000, 0.000, 0.000) [4 per cell]
S (0.115, 0.115, 0.615) [16 per cell]
S (0.128, 0.128, 0.128) [16 per cell]